Structure and computed XRD peak list of Sr3Tl2Hg4Au2 (a cell relaxed with GGA-PBE; Cu Kα (λ = 1.5418 Å)).
Neutral-atom scattering factors, no anomalous dispersion.

Principal peaks in the range 2θ = 5–70°, in order of rising 2θ:
hkl 1 0 0, d 4.324, rel. 32
hkl 0 0 4, d 3.795, rel. 25
hkl 1 0 3, d 3.287, rel. 13
hkl 0 1 4, d 2.852, rel. 78
hkl 1 1 0, d 2.496, rel. 100
hkl 1 0 5, d 2.485, rel. 25
hkl 1 0 6, d 2.184, rel. 11
hkl 1 1 4, d 2.086, rel. 31
hkl 2 0 4, d 1.879, rel. 24
hkl 1 1 8, d 1.511, rel. 12
hkl 1 2 4, d 1.501, rel. 23
hkl 3 0 0, d 1.441, rel. 18

```
Sr3Tl2Hg4Au2
1.0
4.993 0.000 0.000
-2.496 4.324 0.000
0.000 0.000 15.180
Sr Tl Hg Au
3 2 4 2
direct
0.000 0.000 0.000
0.000 0.000 0.252
0.000 0.000 0.748
0.333 0.667 0.567
0.667 0.333 0.433
0.333 0.667 0.361
0.333 0.667 0.873
0.667 0.333 0.127
0.667 0.333 0.639
0.333 0.667 0.130
0.667 0.333 0.870
```

Structure and computed XRD peak list of MgCoGe (a cell relaxed with GGA-PBE; Cu Kα (λ = 1.5418 Å)).
Neutral-atom scattering factors, no anomalous dispersion.

Principal peaks in the range 2θ = 5–70°, in order of rising 2θ:
hkl 0 0 1, d 6.152, rel. 74
hkl 1 0 1, d 3.293, rel. 43
hkl 1 1 0, d 2.756, rel. 8
hkl 1 1 1, d 2.515, rel. 30
hkl 1 0 2, d 2.415, rel. 13
hkl 1 1 2, d 2.053, rel. 100
hkl 2 0 0, d 1.949, rel. 49
hkl 2 0 1, d 1.858, rel. 12
hkl 1 0 3, d 1.815, rel. 11
hkl 2 1 1, d 1.677, rel. 12
hkl 1 1 3, d 1.645, rel. 12
hkl 2 2 0, d 1.378, rel. 15

```
MgCoGe
1.0
3.898 0.000 0.000
0.000 3.898 0.000
0.000 0.000 6.152
Mg Co Ge
2 2 2
direct
0.250 0.250 0.180
0.750 0.750 0.820
0.250 0.750 0.500
0.750 0.250 0.500
0.250 0.250 0.725
0.750 0.750 0.275
```